Record 1
The following is a calculated X-ray powder pattern of Nd4Er5Mg2. It was derived from a PBE-relaxed structure, using Cu Kα (λ = 1.5418 Å).
No peak broadening, texture or thermal motion is included.

Main lines, by intensity (2θ from 5° to 70°):
31.76 deg, rel. 100
27.38 deg, rel. 90
32.16 deg, rel. 90
34.18 deg, rel. 88
30.98 deg, rel. 88
7.68 deg, rel. 61
37.60 deg, rel. 45
39.05 deg, rel. 38

Cell and atoms:
a = 8.999 Å, b = 8.999 Å, c = 11.532 Å
α = 93.17°, β = 93.17°, γ = 22.25°
Fractional positions:
Nd1 0.023 0.023 0.276
Nd2 0.356 0.356 0.188
Nd3 0.644 0.644 0.812
Nd4 0.977 0.977 0.724
Er1 0.175 0.175 0.078
Er2 0.213 0.213 0.383
Er3 0.500 0.500 0.000
Er4 0.787 0.787 0.617
Er5 0.825 0.825 0.922
Mg1 0.408 0.408 0.469
Mg2 0.592 0.592 0.531

Record 2
The following is a calculated X-ray powder pattern of Dy5TlHg6. It was derived from a PBE-relaxed structure, using Cu Kα (λ = 1.5418 Å).
No peak broadening, texture or thermal motion is included.

Main lines, by intensity (2θ from 5° to 70°):
33.94 deg, rel. 100
34.71 deg, rel. 25
34.15 deg, rel. 23
61.73 deg, rel. 18
49.49 deg, rel. 16
61.00 deg, rel. 15
60.60 deg, rel. 9
48.02 deg, rel. 9

Cell and atoms:
a = 9.115 Å, b = 9.115 Å, c = 9.115 Å
α = 147.06°, β = 130.87°, γ = 60.42°
Fractional positions:
Dy1 0.000 0.000 0.000
Dy2 0.175 0.675 0.500
Dy3 0.353 0.353 0.000
Dy4 0.647 0.647 0.000
Dy5 0.825 0.325 0.500
Tl1 0.500 0.000 0.500
Hg1 0.063 0.826 0.237
Hg2 0.225 0.500 0.725
Hg3 0.411 0.174 0.237
Hg4 0.589 0.826 0.763
Hg5 0.775 0.500 0.275
Hg6 0.937 0.174 0.763

Record 3
The following is a calculated X-ray powder pattern of Tb2Ga12Pt7. It was derived from a PBE-relaxed structure, using Cu Kα (λ = 1.5418 Å).
No peak broadening, texture or thermal motion is included.

Main lines, by intensity (2θ from 5° to 70°):
34.73 deg, rel. 100
43.30 deg, rel. 58
41.97 deg, rel. 50
29.67 deg, rel. 47
27.09 deg, rel. 47
43.40 deg, rel. 47
47.87 deg, rel. 30
50.67 deg, rel. 26

Cell and atoms:
a = 10.054 Å, b = 10.054 Å, c = 4.170 Å
α = 90.00°, β = 90.00°, γ = 120.00°
Fractional positions:
Tb1 0.000 0.000 0.000
Tb2 0.333 0.667 0.500
Ga1 0.023 0.284 0.500
Ga2 0.143 0.751 0.000
Ga3 0.249 0.392 0.000
Ga4 0.261 0.977 0.500
Ga5 0.369 0.190 0.000
Ga6 0.533 0.413 0.500
Ga7 0.587 0.121 0.500
Ga8 0.608 0.857 0.000
Ga9 0.716 0.739 0.500
Ga10 0.810 0.179 0.000
Ga11 0.821 0.631 0.000
Ga12 0.879 0.467 0.500
Pt1 0.036 0.460 0.000
Pt2 0.239 0.228 0.500
Pt3 0.424 0.964 0.000
Pt4 0.540 0.576 0.000
Pt5 0.667 0.333 0.000
Pt6 0.772 0.011 0.500
Pt7 0.989 0.761 0.500